(1)
This entry pairs a crystal structure of TiMoN3 with its computed XRD peak list. Radiation: Cu Kα X-rays. Structure: a cell relaxed with GGA-PBE.
Kinematic intensities with the Lorentz-polarization factor, no thermal factor.

Crystal structure
a = 5.1046 Å, b = 2.9563 Å, c = 6.6916 Å
α = 90.00°, β = 104.64°, γ = 90.00°
Space group Cm (No. 8)
Unique sites:
Ti: 0.0000 0.0000 0.0000 x2
Mo: 0.3031 0.5000 0.4076 x2
N: 0.0355 0.5000 0.6066 x2
N: 0.1065 0.5000 0.8192 x2
N: 0.4031 0.0000 0.2076 x2

Most intense lines, 10° ≤ 2θ ≤ 90°, most intense first:
2theta  I/Imax
42.3  100
35.4  70
13.7  68
27.6  45
39.8  41
63.0  22
59.8  22
39.9  21
36.3  17
64.1  17



(2)
This entry pairs a crystal structure of LiAlC with its computed XRD peak list. Radiation: Cu Kα X-rays. Structure: a cell relaxed with GGA-PBE.
Kinematic intensities with the Lorentz-polarization factor, no thermal factor.

Crystal structure
a = 3.0417 Å, b = 4.5494 Å, c = 5.5962 Å
α = 90.04°, β = 105.48°, γ = 109.53°
Space group P-1 (No. 2)
Unique sites:
Li: 0.0846 0.3040 0.3652 x2
Al: 0.2943 0.2215 0.8723 x2
C: 0.3956 0.8925 0.3960 x2

Most intense lines, 10° ≤ 2θ ≤ 90°, most intense first:
2theta  I/Imax
25.3  100
45.0  82
39.5  75
39.7  74
20.8  51
28.0  44
32.1  40
44.1  40
41.5  37
37.8  34



(3)
This entry pairs a crystal structure of Pm4GaH with its computed XRD peak list. Radiation: Cu Kα X-rays. Structure: a cell relaxed with GGA-PBE.
Kinematic intensities with the Lorentz-polarization factor, no thermal factor.

Crystal structure
a = 8.8612 Å, b = 3.7205 Å, c = 11.2388 Å
α = 90.00°, β = 119.51°, γ = 90.00°
Space group P2/c (No. 13)
Unique sites:
Pm: 0.1243 0.0034 0.1749 x4
Pm: 0.2989 0.4849 0.0019 x4
Ga: 0.5000 0.0215 0.7500 x2
H: 0.0000 0.5000 0.0000 x2

Most intense lines, 10° ≤ 2θ ≤ 90°, most intense first:
2theta  I/Imax
30.2  100
32.2  30
58.7  26
42.8  22
36.1  20
32.3  18
33.5  16
25.9  15
43.8  15
32.5  15